For LiTcSbHI, a DFT-relaxed cell (GGA-PBE, Alexandria) gives the simulated powder diffraction line list in this record (copper Kα).
Kinematic intensities with the Lorentz-polarization factor, no thermal factor.

Top 6 peaks for 2θ = 5–70°, by angle:
two_theta, I (rel.), index
13.02, 645, 0 0 1
22.66, 701, 0 1 1
24.82, 709, 1 0 0
24.96, 725, 1 1 0
26.21, 1000, 0 0 2
40.19, 424, 1 2 1

```
data_LiTcSbHI
_chemical_formula_sum 'Li1 Tc1 Sb1 H1 I1'
_space_group_name_H-M_alt 'P 1'
_space_group_IT_number 1
_space_group_name_Hall 'P 1'
_cell_length_a 4.0296
_cell_length_b 4.5384
_cell_length_c 7.1373
_cell_angle_alpha 74.01
_cell_angle_beta 89.66
_cell_angle_gamma 63.91
loop_
_atom_site_label
_atom_site_type_symbol
_atom_site_fract_x
_atom_site_fract_y
_atom_site_fract_z
Li1 Li 0.0000 0.0000 0.0000
Tc1 Tc 0.5373 0.9631 0.3630
Sb1 Sb 0.8429 0.3535 0.3275
H1 H 0.4660 0.0850 0.1154
I1 I 0.6391 0.7290 0.7802
```

***

For ScRe2, a DFT-relaxed cell (GGA-PBE, Alexandria) gives the simulated powder diffraction line list in this record (copper Kα).
Kinematic intensities with the Lorentz-polarization factor, no thermal factor.

Top 6 peaks for 2θ = 5–70°, by angle:
two_theta, I (rel.), index
17.49, 380, 0 0 2
29.94, 164, 1 0 1
39.27, 1000, 1 0 3
40.87, 468, 1 1 0
53.89, 151, 1 0 5
59.17, 158, 2 0 0

```
data_ScRe2
_chemical_formula_sum 'Sc2 Re4'
_space_group_name_H-M_alt 'I 4/m m m'
_space_group_IT_number 139
_space_group_name_Hall '-I 4 2'
_cell_length_a 3.1228
_cell_length_b 3.1228
_cell_length_c 10.1431
_cell_angle_alpha 90.00
_cell_angle_beta 90.00
_cell_angle_gamma 90.00
loop_
_atom_site_label
_atom_site_type_symbol
_atom_site_fract_x
_atom_site_fract_y
_atom_site_fract_z
Sc1 Sc 0.0000 0.0000 0.0000
Re1 Re 0.0000 0.0000 0.3214
```

***

For Tb4Pr3Er4, a DFT-relaxed cell (GGA-PBE, Alexandria) gives the simulated powder diffraction line list in this record (copper Kα).
Kinematic intensities with the Lorentz-polarization factor, no thermal factor.

Top 6 peaks for 2θ = 5–70°, by angle:
two_theta, I (rel.), index
30.57, 1000, 1 1 1
35.39, 338, 1 0 6
35.56, 168, 0 2 1
51.04, 240, 1 2 7
60.56, 285, 2 1 7
60.78, 142, 1 3 2

```
data_Tb4Pr3Er4
_chemical_formula_sum 'Tb4 Pr3 Er4'
_space_group_name_H-M_alt 'P -1'
_space_group_IT_number 2
_space_group_name_Hall '-P 1'
_cell_length_a 3.5882
_cell_length_b 5.0497
_cell_length_c 19.9613
_cell_angle_alpha 82.74
_cell_angle_beta 84.91
_cell_angle_gamma 89.99
loop_
_atom_site_label
_atom_site_type_symbol
_atom_site_fract_x
_atom_site_fract_y
_atom_site_fract_z
Tb1 Tb 0.0463 0.0472 0.4075
Tb2 Tb 0.3155 0.3166 0.8668
Pr1 Pr 0.1377 0.1377 0.2257
Pr2 Pr 0.5000 0.5000 0.5000
Er1 Er 0.2274 0.2278 0.0442
Er2 Er 0.4101 0.4075 0.6821
```

***

For LiCaRhO3, a DFT-relaxed cell (GGA-PBE, Alexandria) gives the simulated powder diffraction line list in this record (copper Kα).
Kinematic intensities with the Lorentz-polarization factor, no thermal factor.

Top 6 peaks for 2θ = 5–70°, by angle:
two_theta, I (rel.), index
13.51, 929, 0 0 1
17.05, 979, 1 0 -1
27.26, 457, 0 0 2
30.85, 768, 0 1 1
40.32, 1000, 2 1 -1
40.61, 512, 2 1 0

```
data_LiCaRhO3
_chemical_formula_sum 'Li2 Ca2 Rh2 O6'
_space_group_name_H-M_alt 'P 1 21/m 1'
_space_group_IT_number 11
_space_group_name_Hall '-P 2yb'
_cell_length_a 6.3362
_cell_length_b 3.2322
_cell_length_c 6.7888
_cell_angle_alpha 90.00
_cell_angle_beta 105.16
_cell_angle_gamma 90.00
loop_
_atom_site_label
_atom_site_type_symbol
_atom_site_fract_x
_atom_site_fract_y
_atom_site_fract_z
Li1 Li 0.1035 0.2500 0.0949
Ca1 Ca 0.2180 0.2500 0.7436
Rh1 Rh 0.3256 0.7500 0.3418
O1 O 0.1215 0.2500 0.3743
O2 O 0.2102 0.7500 0.0142
O3 O 0.4593 0.7500 0.6575
```

***

For ZnAuBr, a DFT-relaxed cell (GGA-PBE, Alexandria) gives the simulated powder diffraction line list in this record (copper Kα).
Kinematic intensities with the Lorentz-polarization factor, no thermal factor.

Top 6 peaks for 2θ = 5–70°, by angle:
two_theta, I (rel.), index
8.42, 1000, 0 1 0
25.45, 145, 0 3 0
35.97, 192, 0 1 2
37.01, 167, 2 1 1
39.01, 130, 0 2 2
39.99, 193, 2 2 1

```
data_ZnAuBr
_chemical_formula_sum 'Zn4 Au4 Br4'
_space_group_name_H-M_alt 'P c a 21'
_space_group_IT_number 29
_space_group_name_Hall 'P 2c -2ac'
_cell_length_a 5.7117
_cell_length_b 10.4994
_cell_length_c 5.1412
_cell_angle_alpha 90.00
_cell_angle_beta 90.00
_cell_angle_gamma 90.00
loop_
_atom_site_label
_atom_site_type_symbol
_atom_site_fract_x
_atom_site_fract_y
_atom_site_fract_z
Zn1 Zn 0.1127 0.2042 0.0000
Au1 Au 0.1092 0.0142 0.6734
Br1 Br 0.0146 0.3416 0.3611
```

***

For Sr10P6O25, a DFT-relaxed cell (GGA-PBE, Alexandria) gives the simulated powder diffraction line list in this record (copper Kα).
Kinematic intensities with the Lorentz-polarization factor, no thermal factor.

Top 6 peaks for 2θ = 5–70°, by angle:
two_theta, I (rel.), index
27.59, 382, 1 2 0
30.20, 1000, 1 2 1
30.34, 837, 1 1 2
31.37, 571, 3 0 0
44.21, 410, 4 -2 2
46.55, 363, 1 2 3

```
data_Sr10P6O25
_chemical_formula_sum 'Sr10 P6 O25'
_space_group_name_H-M_alt 'P 3'
_space_group_IT_number 143
_space_group_name_Hall 'P 3'
_cell_length_a 9.8785
_cell_length_b 9.8785
_cell_length_c 7.3394
_cell_angle_alpha 90.00
_cell_angle_beta 90.00
_cell_angle_gamma 120.00
loop_
_atom_site_label
_atom_site_type_symbol
_atom_site_fract_x
_atom_site_fract_y
_atom_site_fract_z
Sr1 Sr 0.0000 0.0000 0.0000
Sr2 Sr 0.0000 0.0000 0.4901
Sr3 Sr 0.0573 0.6527 0.7275
Sr4 Sr 0.1075 0.4321 0.2346
Sr5 Sr 0.6667 0.3333 0.4638
Sr6 Sr 0.6667 0.3333 0.9734
P1 P 0.3046 0.0245 0.7295
P2 P 0.3642 0.2903 0.2284
O1 O 0.0705 0.3085 0.5510
O2 O 0.0972 0.3680 0.8829
O3 O 0.1838 0.1814 0.2365
O4 O 0.2152 0.1161 0.7630
O5 O 0.3333 0.6667 0.3037
O6 O 0.4084 0.4031 0.0627
O7 O 0.4244 0.3882 0.4070
O8 O 0.4508 0.1956 0.2091
O9 O 0.4835 0.1433 0.7198
```